# 1
Computed powder X-ray diffraction pattern
Compound: YCo10Mo2
Radiation: Cu Ka
Structure: a crystal structure in the Materials Project, relaxed with GGA-PBE
Intensities are scaled so that the largest is 100.

Top 6 peaks for 2θ = 5–70°, sorted by position:
| 2θ/deg | d/Å | I (rel.) |
| --- | --- | --- |
| 37.3 | 2.412 | 60 |
| 42.8 | 2.112 | 54 |
| 43.2 | 2.095 | 100 |
| 44.3 | 2.046 | 71 |
| 48.5 | 1.877 | 33 |
| 49.5 | 1.841 | 44 |

Structure:
Cell: 6.4148 6.4148 6.4148 Å, 137.24 97.69 97.59°
Fractional positions:
Y 0.0000 0.0000 0.0000
Co 0.0000 0.0000 0.5000
Co 0.0000 0.5000 0.0000
Co 0.2135 0.5000 0.7135
Co 0.2208 0.7208 0.5000
Co 0.3594 0.0000 0.3594
Co 0.5000 0.0000 0.0000
Co 0.5000 0.5000 0.5000
Co 0.6406 0.0000 0.6406
Co 0.7792 0.2792 0.5000
Co 0.7865 0.5000 0.2865
Mo 0.3581 0.3581 0.0000
Mo 0.6419 0.6419 0.0000


# 2
Computed powder X-ray diffraction pattern
Compound: Zr9CoMo4
Radiation: Cu Ka
Structure: a crystal structure in the Materials Project, relaxed with GGA-PBE
Intensities are scaled so that the largest is 100.

Top 6 peaks for 2θ = 5–70°, sorted by position:
| 2θ/deg | d/Å | I (rel.) |
| --- | --- | --- |
| 36.9 | 2.434 | 73 |
| 37.8 | 2.381 | 100 |
| 39.8 | 2.265 | 45 |
| 62.5 | 1.486 | 21 |
| 65.0 | 1.435 | 21 |
| 66.5 | 1.407 | 28 |

Structure:
Cell: 8.8069 8.8069 8.4443 Å, 90.00 90.00 120.00°
Fractional positions:
Zr 0.0849 0.5425 0.2500
Zr 0.2009 0.4019 0.5578
Zr 0.2009 0.4019 0.9422
Zr 0.2009 0.7991 0.5578
Zr 0.2009 0.7991 0.9422
Zr 0.4019 0.2009 0.0578
Zr 0.4019 0.2009 0.4422
Zr 0.4575 0.5425 0.2500
Zr 0.4575 0.9151 0.2500
Zr 0.5425 0.0849 0.7500
Zr 0.5425 0.4575 0.7500
Zr 0.5981 0.7991 0.5578
Zr 0.5981 0.7991 0.9422
Zr 0.7991 0.2009 0.0578
Zr 0.7991 0.2009 0.4422
Zr 0.7991 0.5981 0.0578
Zr 0.7991 0.5981 0.4422
Zr 0.9151 0.4575 0.7500
Co 0.3333 0.6667 0.7500
Co 0.6667 0.3333 0.2500
Mo 0.0000 0.0000 0.0000
Mo 0.0000 0.0000 0.5000
Mo 0.1105 0.2210 0.2500
Mo 0.1105 0.8895 0.2500
Mo 0.2210 0.1105 0.7500
Mo 0.7790 0.8895 0.2500
Mo 0.8895 0.1105 0.7500
Mo 0.8895 0.7790 0.7500


# 3
Computed powder X-ray diffraction pattern
Compound: Co4N
Radiation: Cu Ka
Structure: a crystal structure in the Materials Project, relaxed with GGA-PBE
Intensities are scaled so that the largest is 100.

Top 4 peaks for 2θ = 5–70°, sorted by position:
| 2θ/deg | d/Å | I (rel.) |
| --- | --- | --- |
| 23.9 | 3.725 | 1 |
| 34.0 | 2.634 | 1 |
| 42.0 | 2.150 | 100 |
| 48.9 | 1.862 | 57 |

Structure:
Cell: 3.7247 3.7247 3.7247 Å, 90.00 90.00 90.00°
Fractional positions:
Co 0.0000 0.0000 0.0000
Co 0.0000 0.5000 0.5000
Co 0.5000 0.0000 0.5000
Co 0.5000 0.5000 0.0000
N 0.5000 0.5000 0.5000


Repeat the second record exactly.
Computed powder X-ray diffraction pattern
Compound: Zr9CoMo4
Radiation: Cu Ka
Structure: a crystal structure in the Materials Project, relaxed with GGA-PBE
Intensities are scaled so that the largest is 100.

Top 6 peaks for 2θ = 5–70°, sorted by position:
| 2θ/deg | d/Å | I (rel.) |
| --- | --- | --- |
| 36.9 | 2.434 | 73 |
| 37.8 | 2.381 | 100 |
| 39.8 | 2.265 | 45 |
| 62.5 | 1.486 | 21 |
| 65.0 | 1.435 | 21 |
| 66.5 | 1.407 | 28 |

Structure:
Cell: 8.8069 8.8069 8.4443 Å, 90.00 90.00 120.00°
Fractional positions:
Zr 0.0849 0.5425 0.2500
Zr 0.2009 0.4019 0.5578
Zr 0.2009 0.4019 0.9422
Zr 0.2009 0.7991 0.5578
Zr 0.2009 0.7991 0.9422
Zr 0.4019 0.2009 0.0578
Zr 0.4019 0.2009 0.4422
Zr 0.4575 0.5425 0.2500
Zr 0.4575 0.9151 0.2500
Zr 0.5425 0.0849 0.7500
Zr 0.5425 0.4575 0.7500
Zr 0.5981 0.7991 0.5578
Zr 0.5981 0.7991 0.9422
Zr 0.7991 0.2009 0.0578
Zr 0.7991 0.2009 0.4422
Zr 0.7991 0.5981 0.0578
Zr 0.7991 0.5981 0.4422
Zr 0.9151 0.4575 0.7500
Co 0.3333 0.6667 0.7500
Co 0.6667 0.3333 0.2500
Mo 0.0000 0.0000 0.0000
Mo 0.0000 0.0000 0.5000
Mo 0.1105 0.2210 0.2500
Mo 0.1105 0.8895 0.2500
Mo 0.2210 0.1105 0.7500
Mo 0.7790 0.8895 0.2500
Mo 0.8895 0.1105 0.7500
Mo 0.8895 0.7790 0.7500